Entry 1:
Diffraction record for CaLa2MoO6. The XRD peak list is simulated, not measured: it uses a structure optimized by DFT (GGA+U) and Cu Kα (λ = 1.5418 Å).
Kinematic intensities with the Lorentz-polarization factor, no thermal factor.

Most intense lines, 2θ from 10° to 90°, sorted by position:
| 2θ/deg | d/Å | I/Imax |
| --- | --- | --- |
| 18.20 | 4.874 | 22 |
| 21.24 | 4.183 | 19 |
| 29.80 | 2.998 | 100 |
| 30.63 | 2.919 | 94 |
| 36.22 | 2.480 | 13 |
| 43.26 | 2.091 | 49 |
| 52.89 | 1.731 | 30 |
| 53.42 | 1.715 | 43 |
| 61.90 | 1.499 | 14 |
| 70.64 | 1.333 | 16 |

Crystal structure
```
CaLa2MoO6
1.0
2.9982 1.7310 4.7053
-2.9982 1.7310 4.7053
0.0000 -3.4620 4.7053
Ca La Mo O
1 2 1 6
Direct
0.0000 0.0000 0.0000
0.2657 0.2657 0.2657
0.7343 0.7343 0.7343
0.5000 0.5000 0.5000
0.1560 0.3724 0.7152
0.2848 0.8440 0.6276
0.3724 0.7152 0.1560
0.6276 0.2848 0.8440
0.7152 0.1560 0.3724
0.8440 0.6276 0.2848
```

Entry 2:
Diffraction record for CaLa4Ni3WO12. The XRD peak list is simulated, not measured: it uses a structure optimized by DFT (GGA+U) and Cu Kα (λ = 1.5418 Å).
Kinematic intensities with the Lorentz-polarization factor, no thermal factor.

Most intense lines, 2θ from 10° to 90°, sorted by position:
| 2θ/deg | d/Å | I/Imax |
| --- | --- | --- |
| 18.69 | 4.749 | 39 |
| 29.68 | 3.010 | 100 |
| 31.05 | 2.881 | 46 |
| 32.22 | 2.778 | 42 |
| 33.25 | 2.694 | 38 |
| 33.53 | 2.673 | 18 |
| 45.25 | 2.004 | 26 |
| 45.45 | 1.996 | 25 |
| 46.35 | 1.959 | 16 |
| 46.98 | 1.934 | 33 |

Crystal structure
```
CaLa4Ni3WO12
1.0
5.5570 0.0000 0.0000
0.0000 9.1448 0.0000
-0.0236 0.0000 5.7612
Ca La Ni W O
1 4 3 1 12
Direct
0.0000 0.0000 0.0000
0.0000 0.3228 0.0000
0.0000 0.6772 0.0000
0.5000 0.1900 0.5000
0.5000 0.8100 0.5000
0.0000 0.0000 0.5000
0.5000 0.0000 0.0000
0.5000 0.5000 0.0000
0.0000 0.5000 0.5000
0.0000 0.2689 0.5000
0.0000 0.7311 0.5000
0.2202 0.5000 0.2111
0.2353 0.5000 0.7652
0.2700 0.0000 0.7238
0.2714 0.0000 0.2773
0.5000 0.2466 0.0000
0.5000 0.7534 0.0000
0.7286 0.0000 0.7227
0.7300 0.0000 0.2762
0.7647 0.5000 0.2348
0.7798 0.5000 0.7889
```

Entry 3:
Diffraction record for CaLa4Ni3WO12. The XRD peak list is simulated, not measured: it uses a structure optimized by DFT (GGA+U) and Cu Kα (λ = 1.5418 Å).
Kinematic intensities with the Lorentz-polarization factor, no thermal factor.

Most intense lines, 2θ from 10° to 90°, sorted by position:
| 2θ/deg | d/Å | I/Imax |
| --- | --- | --- |
| 18.62 | 4.766 | 25 |
| 30.06 | 2.973 | 100 |
| 31.47 | 2.843 | 40 |
| 31.66 | 2.826 | 39 |
| 34.22 | 2.620 | 30 |
| 40.73 | 2.215 | 12 |
| 45.24 | 2.004 | 46 |
| 47.27 | 1.923 | 28 |
| 55.16 | 1.665 | 19 |
| 55.40 | 1.659 | 22 |

Crystal structure
```
CaLa4Ni3WO12
1.0
5.6529 0.0000 0.0000
0.0000 5.6851 0.0000
0.0000 0.0000 8.8617
Ca La Ni W O
1 4 3 1 12
Direct
0.0000 0.0000 0.0000
0.0000 0.0000 0.3284
0.0000 0.0000 0.6716
0.5000 0.5000 0.2238
0.5000 0.5000 0.7762
0.0000 0.5000 0.0000
0.0000 0.5000 0.5000
0.5000 0.0000 0.5000
0.5000 0.0000 0.0000
0.0000 0.5000 0.2457
0.0000 0.5000 0.7543
0.2328 0.2287 0.5000
0.2328 0.7713 0.5000
0.2739 0.2768 0.0000
0.2739 0.7232 0.0000
0.5000 0.0000 0.2354
0.5000 0.0000 0.7646
0.7261 0.2768 0.0000
0.7261 0.7232 0.0000
0.7672 0.2287 0.5000
0.7672 0.7713 0.5000
```

Entry 4:
Diffraction record for CaLa2VO6. The XRD peak list is simulated, not measured: it uses a structure optimized by DFT (GGA+U) and Cu Kα (λ = 1.5418 Å).
Kinematic intensities with the Lorentz-polarization factor, no thermal factor.

Most intense lines, 2θ from 10° to 90°, sorted by position:
| 2θ/deg | d/Å | I/Imax |
| --- | --- | --- |
| 21.72 | 4.092 | 50 |
| 30.33 | 2.947 | 100 |
| 31.48 | 2.842 | 96 |
| 37.61 | 2.392 | 28 |
| 44.27 | 2.046 | 53 |
| 49.05 | 1.857 | 16 |
| 53.88 | 1.702 | 30 |
| 54.61 | 1.681 | 43 |
| 63.08 | 1.474 | 14 |
| 72.21 | 1.308 | 16 |

Crystal structure
```
CaLa2VO6
1.0
2.9474 1.7017 4.5622
-2.9474 1.7017 4.5622
0.0000 -3.4033 4.5622
Ca La V O
1 2 1 6
Direct
0.0000 0.0000 0.0000
0.2614 0.2614 0.2614
0.7386 0.7386 0.7386
0.5000 0.5000 0.5000
0.1706 0.3689 0.7142
0.2858 0.8294 0.6311
0.3689 0.7142 0.1706
0.6311 0.2858 0.8294
0.7142 0.1706 0.3689
0.8294 0.6311 0.2858
```

Entry 5:
Diffraction record for Li2CaV12O32. The XRD peak list is simulated, not measured: it uses a structure optimized by DFT (GGA+U) and Cu Kα (λ = 1.5418 Å).
Kinematic intensities with the Lorentz-polarization factor, no thermal factor.

Most intense lines, 2θ from 10° to 90°, sorted by position:
| 2θ/deg | d/Å | I/Imax |
| --- | --- | --- |
| 13.10 | 6.758 | 100 |
| 22.80 | 3.900 | 15 |
| 26.17 | 3.406 | 18 |
| 27.85 | 3.204 | 66 |
| 29.70 | 3.008 | 29 |
| 30.00 | 2.979 | 10 |
| 39.67 | 2.272 | 19 |
| 40.25 | 2.241 | 18 |
| 50.26 | 1.815 | 19 |
| 58.22 | 1.585 | 9 |

Crystal structure
```
Li2CaV12O32
1.0
7.0899 -3.6306 0.0000
7.0899 3.6306 0.0000
-3.7098 0.0000 11.7010
Li Ca V O
2 1 12 32
Direct
0.2471 0.7529 0.0000
0.7529 0.2471 0.0000
0.4915 0.4915 0.6238
0.0320 0.5328 0.1115
0.0932 0.5909 0.3802
0.1453 0.1453 0.2221
0.2020 0.2020 0.4921
0.3156 0.3156 0.7672
0.4220 0.9193 0.8476
0.5328 0.0320 0.1115
0.5909 0.0932 0.3802
0.6444 0.6444 0.2236
0.7126 0.7126 0.4974
0.8200 0.8200 0.7666
0.9193 0.4220 0.8476
0.0254 0.5257 0.7665
0.0423 0.0423 0.1131
0.1041 0.6030 0.0282
0.1070 0.1070 0.3474
0.1277 0.6303 0.2538
0.1313 0.1313 0.5737
0.2103 0.2103 0.8455
0.2121 0.6807 0.4842
0.2499 0.2499 0.1296
0.2992 0.2992 0.3696
0.3232 0.7965 0.7547
0.3297 0.3297 0.6289
0.4024 0.9012 0.9824
0.4283 0.4283 0.8574
0.4363 0.9363 0.2305
0.4887 0.9902 0.4753
0.5257 0.0254 0.7665
0.5407 0.5407 0.1158
0.6030 0.1041 0.0282
0.6114 0.6114 0.3508
0.6303 0.1277 0.2538
0.6384 0.6384 0.5775
0.6807 0.2121 0.4842
0.7152 0.7152 0.8489
0.7496 0.7496 0.1297
0.7965 0.3232 0.7547
0.8036 0.8036 0.3766
0.8333 0.8333 0.6290
0.9012 0.4024 0.9824
0.9303 0.9303 0.8612
0.9363 0.4363 0.2305
0.9902 0.4887 0.4753
```

Entry 6:
Diffraction record for CaMg6MnO8. The XRD peak list is simulated, not measured: it uses a structure optimized by DFT (GGA+U) and Cu Kα (λ = 1.5418 Å).
Kinematic intensities with the Lorentz-polarization factor, no thermal factor.

Most intense lines, 2θ from 10° to 90°, sorted by position:
| 2θ/deg | d/Å | I/Imax |
| --- | --- | --- |
| 10.12 | 8.744 | 14 |
| 30.52 | 2.929 | 7 |
| 35.43 | 2.533 | 30 |
| 41.07 | 2.198 | 100 |
| 41.30 | 2.186 | 48 |
| 59.48 | 1.554 | 29 |
| 59.66 | 1.550 | 55 |
| 71.18 | 1.325 | 11 |
| 74.98 | 1.267 | 25 |
| 89.10 | 1.099 | 8 |

Crystal structure
```
CaMg6MnO8
1.0
4.3955 0.0000 0.0000
0.0000 4.3955 0.0000
0.0000 0.0000 8.7444
Ca Mg Mn O
1 6 1 8
Direct
0.0000 0.0000 0.0000
0.0000 0.0000 0.5000
0.0000 0.5000 0.2590
0.0000 0.5000 0.7410
0.5000 0.0000 0.2590
0.5000 0.0000 0.7410
0.5000 0.5000 0.5000
0.5000 0.5000 0.0000
0.0000 0.0000 0.2646
0.0000 0.0000 0.7354
0.0000 0.5000 0.0000
0.0000 0.5000 0.5000
0.5000 0.0000 0.0000
0.5000 0.0000 0.5000
0.5000 0.5000 0.2589
0.5000 0.5000 0.7411
```